Record 1
# ScAl7Cu5
Theoretical X-ray powder pattern, Cu Ka. Input: the PBE geometry in Alexandria.
No peak broadening, texture or thermal motion is included.

```
ScAl7Cu5
1.0
-2.535 4.351 4.301
2.535 -4.351 4.301
2.535 4.351 -4.301
Sc Al Cu
1 7 5
Direct
0.000 0.000 0.000
0.212 0.513 0.699
0.342 0.998 0.344
0.344 0.344 0.000
0.653 0.653 0.000
0.654 0.998 0.656
0.778 0.278 0.500
0.814 0.513 0.301
0.003 0.008 0.497
0.003 0.506 0.995
0.234 0.734 0.500
0.511 0.008 0.005
0.511 0.506 0.503
```

Peak list (10 most intense, 2θ from 10° to 80°, in order of rising 2θ)
| Position (°2θ) | I_rel |
| --- | --- |
| 20.41 | 28 |
| 20.65 | 72 |
| 29.16 | 36 |
| 41.21 | 72 |
| 41.34 | 43 |
| 41.53 | 81 |
| 42.02 | 45 |
| 46.53 | 100 |
| 46.79 | 40 |
| 47.12 | 28 |

=====

Record 2
# K3AsF7
Theoretical X-ray powder pattern, Cu Ka. Input: the PBE geometry in Alexandria.
No peak broadening, texture or thermal motion is included.

```
K3AsF7
1.0
8.054 0.000 0.000
0.000 8.054 0.000
0.000 0.000 5.807
K As F
6 2 14
Direct
0.000 0.000 0.000
0.191 0.309 0.500
0.309 0.809 0.500
0.500 0.500 0.000
0.691 0.191 0.500
0.809 0.691 0.500
0.000 0.500 0.000
0.500 0.000 0.000
0.000 0.000 0.500
0.116 0.616 0.240
0.116 0.616 0.760
0.168 0.332 0.000
0.332 0.832 0.000
0.384 0.116 0.240
0.384 0.116 0.760
0.500 0.500 0.500
0.616 0.884 0.240
0.616 0.884 0.760
0.668 0.168 0.000
0.832 0.668 0.000
0.884 0.384 0.240
0.884 0.384 0.760
```

Peak list (10 most intense, 2θ from 10° to 80°, in order of rising 2θ)
| Position (°2θ) | I_rel |
| --- | --- |
| 15.56 | 66 |
| 21.86 | 29 |
| 22.07 | 19 |
| 26.94 | 100 |
| 30.80 | 30 |
| 31.42 | 66 |
| 39.88 | 60 |
| 44.57 | 45 |
| 55.54 | 24 |
| 60.50 | 21 |

=====

Record 3
# NaSbAs
Theoretical X-ray powder pattern, Cu Ka. Input: the PBE geometry in Alexandria.
No peak broadening, texture or thermal motion is included.

```
NaSbAs
1.0
6.296 0.000 0.000
0.000 3.948 0.000
-1.636 0.000 6.870
Na Sb As
2 2 2
Direct
0.189 0.250 0.388
0.811 0.750 0.612
0.199 0.250 0.906
0.801 0.750 0.094
0.370 0.750 0.738
0.630 0.250 0.262
```

Peak list (10 most intense, 2θ from 10° to 80°, in order of rising 2θ)
| Position (°2θ) | I_rel |
| --- | --- |
| 12.89 | 82 |
| 17.02 | 46 |
| 21.56 | 79 |
| 28.36 | 100 |
| 32.71 | 54 |
| 34.61 | 57 |
| 35.17 | 49 |
| 37.15 | 60 |
| 41.53 | 37 |
| 45.81 | 36 |

=====

Please write out number 2 again, unchanged.
# K3AsF7
Theoretical X-ray powder pattern, Cu Ka. Input: the PBE geometry in Alexandria.
No peak broadening, texture or thermal motion is included.

```
K3AsF7
1.0
8.054 0.000 0.000
0.000 8.054 0.000
0.000 0.000 5.807
K As F
6 2 14
Direct
0.000 0.000 0.000
0.191 0.309 0.500
0.309 0.809 0.500
0.500 0.500 0.000
0.691 0.191 0.500
0.809 0.691 0.500
0.000 0.500 0.000
0.500 0.000 0.000
0.000 0.000 0.500
0.116 0.616 0.240
0.116 0.616 0.760
0.168 0.332 0.000
0.332 0.832 0.000
0.384 0.116 0.240
0.384 0.116 0.760
0.500 0.500 0.500
0.616 0.884 0.240
0.616 0.884 0.760
0.668 0.168 0.000
0.832 0.668 0.000
0.884 0.384 0.240
0.884 0.384 0.760
```

Peak list (10 most intense, 2θ from 10° to 80°, in order of rising 2θ)
| Position (°2θ) | I_rel |
| --- | --- |
| 15.56 | 66 |
| 21.86 | 29 |
| 22.07 | 19 |
| 26.94 | 100 |
| 30.80 | 30 |
| 31.42 | 66 |
| 39.88 | 60 |
| 44.57 | 45 |
| 55.54 | 24 |
| 60.50 | 21 |